Entry 1:
The following is a simulated PXRD pattern of FeTeBr7. It was derived from a cell relaxed with GGA-PBE, using Cu Kα X-rays.

Atomic structure:
Unit cell a=7.054 b=9.150 c=10.926 alpha=85.03 beta=76.80 gamma=83.51
Positions (direct):
Fe1 0.000 0.000 0.000
Fe2 0.262 0.433 0.431
Te1 0.458 0.374 0.964
Te2 0.699 0.809 0.416
Br1 0.050 0.634 0.523
Br2 0.170 0.495 0.879
Br3 0.183 0.374 0.241
Br4 0.221 0.231 0.573
Br5 0.332 0.059 0.948
Br6 0.432 0.919 0.307
Br7 0.489 0.799 0.637
Br8 0.578 0.613 0.003
Br9 0.593 0.489 0.389
Br10 0.687 0.341 0.752
Br11 0.792 0.205 0.086
Br12 0.835 0.046 0.441
Br13 0.920 0.923 0.824
Br14 0.986 0.796 0.154

Largest 10 diffraction maxima, most intense first, 10° ≤ 2θ ≤ 80°:
26.49°, I = 100; 31.02°, I = 66; 30.92°, I = 64; 30.67°, I = 63; 43.98°, I = 61; 44.37°, I = 60; 26.64°, I = 55; 26.98°, I = 50; 16.70°, I = 38; 43.85°, I = 31

---

Entry 2:
The following is a simulated PXRD pattern of Na2BN. It was derived from a cell relaxed with GGA-PBE, using Cu Kα X-rays.

Atomic structure:
Unit cell a=5.807 b=9.581 c=5.271 alpha=90.00 beta=90.00 gamma=90.00
Positions (direct):
Na1 0.042 0.250 0.000
Na2 0.042 0.250 0.500
Na3 0.310 0.514 0.250
Na4 0.310 0.986 0.750
Na5 0.690 0.014 0.250
Na6 0.690 0.486 0.750
Na7 0.958 0.750 0.000
Na8 0.958 0.750 0.500
B1 0.469 0.750 0.000
B2 0.469 0.750 0.500
B3 0.531 0.250 0.000
B4 0.531 0.250 0.500
N1 0.433 0.250 0.250
N2 0.433 0.250 0.750
N3 0.567 0.750 0.250
N4 0.567 0.750 0.750

Largest 10 diffraction maxima, most intense first, 10° ≤ 2θ ≤ 80°:
37.52°, I = 100; 36.18°, I = 90; 24.63°, I = 86; 18.52°, I = 56; 39.00°, I = 45; 36.35°, I = 28; 54.09°, I = 22; 46.54°, I = 19; 62.61°, I = 17; 36.56°, I = 16

---

Entry 3:
The following is a simulated PXRD pattern of CuAs4H10O16. It was derived from a cell relaxed with GGA-PBE, using Cu Kα X-rays.

Atomic structure:
Unit cell a=5.472 b=7.715 c=8.625 alpha=107.78 beta=98.55 gamma=92.94
Positions (direct):
Cu1 0.000 0.000 0.000
As1 0.034 0.282 0.699
As2 0.421 0.815 0.797
As3 0.579 0.185 0.203
As4 0.966 0.718 0.301
H1 0.015 0.408 0.224
H2 0.110 0.107 0.442
H3 0.314 0.284 0.926
H4 0.409 0.961 0.296
H5 0.424 0.452 0.336
H6 0.576 0.548 0.664
H7 0.591 0.039 0.704
H8 0.686 0.716 0.074
H9 0.890 0.893 0.558
H10 0.985 0.592 0.776
O1 0.120 0.242 0.506
O2 0.129 0.903 0.288
O3 0.132 0.526 0.274
O4 0.141 0.794 0.859
O5 0.295 0.365 0.853
O6 0.325 0.151 0.049
O7 0.416 0.980 0.697
O8 0.419 0.604 0.647
O9 0.581 0.396 0.353
O10 0.584 0.020 0.303
O11 0.675 0.849 0.951
O12 0.705 0.635 0.147
O13 0.859 0.206 0.141
O14 0.868 0.474 0.726
O15 0.871 0.097 0.712
O16 0.880 0.758 0.494

Largest 10 diffraction maxima, most intense first, 10° ≤ 2θ ≤ 80°:
22.86°, I = 100; 27.11°, I = 97; 21.48°, I = 76; 21.98°, I = 75; 20.85°, I = 70; 21.86°, I = 67; 28.73°, I = 67; 27.22°, I = 64; 12.11°, I = 59; 23.32°, I = 57

---

Entry 4:
The following is a simulated PXRD pattern of Ba2CaMgAl2F14. It was derived from a cell relaxed with GGA-PBE, using Cu Kα X-rays.

Atomic structure:
Unit cell a=7.388 b=7.388 c=14.817 alpha=91.80 beta=91.80 gamma=41.91
Positions (direct):
Ba1 0.151 0.232 0.118
Ba2 0.232 0.151 0.618
Ba3 0.768 0.849 0.382
Ba4 0.849 0.768 0.882
Ca1 0.439 0.561 0.250
Ca2 0.561 0.439 0.750
Mg1 0.500 0.500 0.000
Mg2 0.500 0.500 0.500
Al1 0.111 0.121 0.378
Al2 0.121 0.111 0.878
Al3 0.879 0.889 0.122
Al4 0.889 0.879 0.622
F1 0.039 0.642 0.215
F2 0.056 0.931 0.341
F3 0.069 0.944 0.159
F4 0.110 0.733 0.524
F5 0.153 0.594 0.694
F6 0.174 0.600 0.051
F7 0.197 0.283 0.421
F8 0.267 0.890 0.976
F9 0.283 0.197 0.921
F10 0.358 0.961 0.285
F11 0.381 0.488 0.881
F12 0.400 0.826 0.449
F13 0.406 0.847 0.806
F14 0.488 0.381 0.381
F15 0.512 0.619 0.619
F16 0.594 0.153 0.194
F17 0.600 0.174 0.551
F18 0.619 0.512 0.119
F19 0.642 0.039 0.715
F20 0.717 0.803 0.079
F21 0.733 0.110 0.024
F22 0.803 0.717 0.579
F23 0.826 0.400 0.949
F24 0.847 0.406 0.306
F25 0.890 0.267 0.476
F26 0.931 0.056 0.841
F27 0.944 0.069 0.659
F28 0.961 0.358 0.785

Largest 10 diffraction maxima, most intense first, 10° ≤ 2θ ≤ 80°:
25.69°, I = 100; 28.16°, I = 45; 21.52°, I = 42; 24.04°, I = 38; 43.75°, I = 36; 39.18°, I = 35; 42.01°, I = 32; 26.95°, I = 31; 21.76°, I = 30; 41.09°, I = 30

---

Entry 5:
The following is a simulated PXRD pattern of Tl5SnF9. It was derived from a cell relaxed with GGA-PBE, using Cu Kα X-rays.

Atomic structure:
Unit cell a=8.324 b=9.841 c=7.223 alpha=90.00 beta=90.00 gamma=90.00
Positions (direct):
Tl1 0.000 0.233 0.000
Tl2 0.000 0.767 0.500
Tl3 0.226 0.427 0.597
Tl4 0.226 0.573 0.097
Tl5 0.231 0.087 0.484
Tl6 0.231 0.913 0.984
Tl7 0.769 0.087 0.484
Tl8 0.769 0.913 0.984
Tl9 0.774 0.427 0.597
Tl10 0.774 0.573 0.097
Sn1 0.500 0.250 0.041
Sn2 0.500 0.750 0.541
F1 0.000 0.017 0.257
F2 0.000 0.247 0.579
F3 0.000 0.484 0.854
F4 0.000 0.516 0.354
F5 0.000 0.753 0.079
F6 0.000 0.983 0.757
F7 0.324 0.302 0.218
F8 0.324 0.698 0.718
F9 0.325 0.196 0.862
F10 0.325 0.804 0.362
F11 0.500 0.064 0.152
F12 0.500 0.435 0.931
F13 0.500 0.565 0.431
F14 0.500 0.936 0.652
F15 0.675 0.196 0.862
F16 0.675 0.804 0.362
F17 0.676 0.302 0.218
F18 0.676 0.698 0.718

Largest 10 diffraction maxima, most intense first, 10° ≤ 2θ ≤ 80°:
26.31°, I = 100; 29.92°, I = 75; 24.65°, I = 42; 37.71°, I = 36; 28.08°, I = 35; 34.11°, I = 26; 53.69°, I = 25; 37.05°, I = 20; 53.00°, I = 17; 43.49°, I = 15

---

Entry 6:
The following is a simulated PXRD pattern of LiScB4H16. It was derived from a cell relaxed with GGA-PBE, using Cu Kα X-rays.

Atomic structure:
Unit cell a=6.117 b=6.117 c=11.643 alpha=90.00 beta=90.00 gamma=92.20
Positions (direct):
Li1 0.000 0.000 0.000
Li2 0.000 0.000 0.500
Sc1 0.500 0.500 0.208
Sc2 0.500 0.500 0.708
B1 0.252 0.279 0.080
B2 0.273 0.718 0.308
B3 0.279 0.252 0.580
B4 0.282 0.727 0.808
B5 0.718 0.273 0.808
B6 0.721 0.748 0.580
B7 0.727 0.282 0.308
B8 0.748 0.721 0.080
H1 0.065 0.289 0.045
H2 0.127 0.355 0.546
H3 0.162 0.837 0.864
H4 0.163 0.838 0.364
H5 0.222 0.530 0.811
H6 0.222 0.711 0.205
H7 0.240 0.275 0.187
H8 0.264 0.527 0.344
H9 0.275 0.240 0.687
H10 0.289 0.065 0.545
H11 0.289 0.778 0.705
H12 0.343 0.452 0.048
H13 0.355 0.127 0.046
H14 0.452 0.343 0.548
H15 0.470 0.778 0.311
H16 0.473 0.736 0.844
H17 0.527 0.264 0.844
H18 0.530 0.222 0.311
H19 0.548 0.657 0.548
H20 0.645 0.873 0.046
H21 0.657 0.548 0.048
H22 0.711 0.222 0.705
H23 0.711 0.935 0.545
H24 0.725 0.760 0.687
H25 0.736 0.473 0.344
H26 0.760 0.725 0.187
H27 0.778 0.289 0.205
H28 0.778 0.470 0.811
H29 0.837 0.162 0.364
H30 0.838 0.163 0.864
H31 0.873 0.645 0.546
H32 0.935 0.711 0.045

Largest 10 diffraction maxima, most intense first, 10° ≤ 2θ ≤ 80°:
14.49°, I = 100; 21.08°, I = 90; 15.22°, I = 43; 25.99°, I = 39; 25.35°, I = 33; 20.15°, I = 26; 42.91°, I = 23; 20.95°, I = 22; 36.78°, I = 19; 35.83°, I = 17

---

Entry 7:
The following is a simulated PXRD pattern of Ta4Te3N2. It was derived from a cell relaxed with GGA-PBE, using Cu Kα X-rays.

Atomic structure:
Unit cell a=5.530 b=10.747 c=15.006 alpha=90.00 beta=90.00 gamma=90.00
Positions (direct):
Ta1 0.125 0.250 0.034
Ta2 0.131 0.250 0.404
Ta3 0.243 0.539 0.018
Ta4 0.243 0.961 0.018
Ta5 0.257 0.039 0.518
Ta6 0.257 0.461 0.518
Ta7 0.369 0.750 0.904
Ta8 0.375 0.750 0.534
Ta9 0.625 0.250 0.466
Ta10 0.631 0.250 0.096
Ta11 0.743 0.539 0.482
Ta12 0.743 0.961 0.482
Ta13 0.757 0.039 0.982
Ta14 0.757 0.461 0.982
Ta15 0.869 0.750 0.596
Ta16 0.875 0.750 0.966
Te1 0.047 0.564 0.840
Te2 0.047 0.936 0.840
Te3 0.130 0.750 0.128
Te4 0.370 0.250 0.628
Te5 0.453 0.064 0.340
Te6 0.453 0.436 0.340
Te7 0.547 0.564 0.660
Te8 0.547 0.936 0.660
Te9 0.630 0.750 0.372
Te10 0.870 0.250 0.872
Te11 0.953 0.064 0.160
Te12 0.953 0.436 0.160
N1 0.071 0.621 0.532
N2 0.071 0.879 0.532
N3 0.429 0.121 0.032
N4 0.429 0.379 0.032
N5 0.571 0.621 0.968
N6 0.571 0.879 0.968
N7 0.929 0.121 0.468
N8 0.929 0.379 0.468

Largest 10 diffraction maxima, most intense first, 10° ≤ 2θ ≤ 80°:
11.80°, I = 100; 33.34°, I = 19; 32.07°, I = 18; 10.12°, I = 18; 39.16°, I = 18; 42.56°, I = 17; 34.81°, I = 16; 17.09°, I = 14; 38.53°, I = 13; 40.51°, I = 12

---

Entry 8:
The following is a simulated PXRD pattern of ErIr. It was derived from a cell relaxed with GGA-PBE, using Cu Kα X-rays.

Atomic structure:
Unit cell a=3.398 b=3.398 c=3.398 alpha=90.00 beta=90.00 gamma=90.00
Positions (direct):
Er1 0.000 0.000 0.000
Ir1 0.500 0.500 0.500

Largest 5 diffraction maxima, most intense first, 10° ≤ 2θ ≤ 80°:
37.43°, I = 100; 67.52°, I = 36; 53.97°, I = 18; 79.84°, I = 11; 26.23°, I = 1

---

Entry 9:
The following is a simulated PXRD pattern of BaEuHfNbO6. It was derived from a cell relaxed with GGA-PBE, using Cu Kα X-rays.

Atomic structure:
Unit cell a=5.870 b=5.870 c=5.870 alpha=60.00 beta=60.00 gamma=60.00
Positions (direct):
Ba1 0.000 0.000 0.000
Eu1 0.500 0.500 0.500
Hf1 0.750 0.750 0.750
Nb1 0.250 0.250 0.250
O1 0.001 0.001 0.499
O2 0.001 0.499 0.001
O3 0.001 0.499 0.499
O4 0.499 0.001 0.001
O5 0.499 0.001 0.499
O6 0.499 0.499 0.001

Largest 10 diffraction maxima, most intense first, 10° ≤ 2θ ≤ 80°:
30.46°, I = 100; 54.13°, I = 40; 43.61°, I = 29; 63.38°, I = 18; 71.94°, I = 18; 18.51°, I = 5; 35.88°, I = 3; 37.53°, I = 2; 47.76°, I = 2; 57.71°, I = 1

---

Entry 10:
The following is a simulated PXRD pattern of Ba2Ca2NdTi2Cu2O12. It was derived from a cell relaxed with GGA-PBE, using Cu Kα X-rays.

Atomic structure:
Unit cell a=18.048 b=18.048 c=18.048 alpha=167.44 beta=167.44 gamma=17.80
Positions (direct):
Ba1 0.108 0.108 0.000
Ba2 0.892 0.892 0.000
Ca1 0.214 0.214 0.000
Ca2 0.786 0.786 0.000
Nd1 0.000 0.000 0.000
Ti1 0.331 0.331 0.000
Ti2 0.669 0.669 0.000
Cu1 0.448 0.448 0.000
Cu2 0.552 0.552 0.000
O1 0.042 0.542 0.500
O2 0.168 0.668 0.500
O3 0.277 0.277 0.000
O4 0.332 0.832 0.500
O5 0.389 0.389 0.000
O6 0.458 0.958 0.500
O7 0.542 0.042 0.500
O8 0.611 0.611 0.000
O9 0.668 0.168 0.500
O10 0.723 0.723 0.000
O11 0.832 0.332 0.500
O12 0.958 0.458 0.500

Largest 10 diffraction maxima, most intense first, 10° ≤ 2θ ≤ 80°:
32.02°, I = 100; 57.10°, I = 25; 45.97°, I = 23; 57.00°, I = 13; 41.06°, I = 11; 76.24°, I = 11; 66.91°, I = 10; 35.84°, I = 10; 22.66°, I = 9; 45.80°, I = 9